Structure and computed XRD peak list of LiMnCO4 (a GGA+U-relaxed structure; copper Kα).
Kinematic intensities with the Lorentz-polarization factor, no thermal factor.

Crystal structure
a b c (Å): 3.284 9.172 9.368
angles (deg): 90.00 91.34 90.00
Element x y z (fractional)
Li  0.244  0.188  0.402
Li  0.244  0.312  0.902
Li  0.756  0.688  0.098
Li  0.756  0.812  0.598
Mn  0.250  0.565  0.384
Mn  0.250  0.935  0.884
Mn  0.750  0.065  0.116
Mn  0.750  0.435  0.616
C  0.246  0.628  0.842
C  0.246  0.872  0.342
C  0.754  0.128  0.658
C  0.754  0.372  0.158
O  0.238  0.505  0.769
O  0.238  0.995  0.269
O  0.246  0.749  0.267
O  0.246  0.751  0.767
O  0.254  0.630  0.976
O  0.254  0.870  0.476
O  0.259  0.110  0.993
O  0.259  0.390  0.493
O  0.741  0.610  0.507
O  0.741  0.890  0.007
O  0.746  0.130  0.524
O  0.746  0.370  0.024
O  0.754  0.249  0.233
O  0.754  0.251  0.733
O  0.762  0.005  0.731
O  0.762  0.495  0.231

Peak list (12 most intense, 5 to 70 degrees two-theta, in order of rising 2θ)
d [Å]  intensity
6.553  100
4.586  29
4.170  37
3.091  33
2.718  43
2.659  35
2.559  36
2.221  16
2.173  15
2.059  15
1.836  12
1.642  18

***

Structure and computed XRD peak list of LiMnC2O6 (a GGA+U-relaxed structure; copper Kα).
Kinematic intensities with the Lorentz-polarization factor, no thermal factor.

Crystal structure
a b c (Å): 4.956 7.915 12.716
angles (deg): 90.00 94.36 90.00
Element x y z (fractional)
Li  0.157  0.000  0.320
Li  0.342  0.500  0.180
Li  0.658  0.000  0.820
Li  0.843  0.500  0.680
Mn  0.128  0.948  0.618
Mn  0.373  0.448  0.881
Mn  0.627  0.948  0.119
Mn  0.872  0.448  0.382
C  0.065  0.712  0.434
C  0.151  0.195  0.808
C  0.350  0.695  0.692
C  0.435  0.212  0.066
C  0.565  0.712  0.934
C  0.650  0.195  0.308
C  0.849  0.695  0.192
C  0.935  0.212  0.566
O  0.028  0.060  0.782
O  0.031  0.343  0.812
O  0.088  0.701  0.664
O  0.163  0.859  0.454
O  0.197  0.186  0.585
O  0.209  0.576  0.428
O  0.290  0.076  0.072
O  0.303  0.686  0.915
O  0.337  0.358  0.046
O  0.413  0.201  0.836
O  0.470  0.843  0.688
O  0.473  0.560  0.718
O  0.527  0.060  0.282
O  0.530  0.343  0.312
O  0.587  0.701  0.164
O  0.663  0.858  0.954
O  0.697  0.186  0.085
O  0.710  0.576  0.928
O  0.791  0.076  0.572
O  0.803  0.686  0.415
O  0.837  0.359  0.546
O  0.912  0.201  0.336
O  0.969  0.843  0.188
O  0.972  0.560  0.218

Peak list (12 most intense, 5 to 70 degrees two-theta, in order of rising 2θ)
d [Å]  intensity
4.948  85
4.727  100
4.059  29
3.905  48
3.170  14
3.077  16
2.943  54
2.437  11
2.358  16
2.329  24
1.825  13
1.668  17

***

Structure and computed XRD peak list of LiMnCO4 (a GGA+U-relaxed structure; copper Kα).
Kinematic intensities with the Lorentz-polarization factor, no thermal factor.

Crystal structure
a b c (Å): 6.488 5.301 10.104
angles (deg): 90.00 100.85 90.00
Element x y z (fractional)
Li  0.150  0.171  0.323
Li  0.150  0.329  0.823
Li  0.850  0.671  0.177
Li  0.850  0.829  0.677
Mn  0.417  0.622  0.642
Mn  0.417  0.878  0.142
Mn  0.583  0.122  0.858
Mn  0.583  0.378  0.358
C  0.205  0.717  0.418
C  0.205  0.783  0.918
C  0.795  0.217  0.082
C  0.795  0.283  0.582
O  0.101  0.717  0.805
O  0.101  0.783  0.305
O  0.265  0.018  0.950
O  0.265  0.482  0.450
O  0.266  0.620  0.014
O  0.266  0.880  0.514
O  0.405  0.172  0.240
O  0.405  0.328  0.740
O  0.595  0.672  0.260
O  0.595  0.828  0.760
O  0.734  0.120  0.486
O  0.734  0.380  0.986
O  0.735  0.518  0.550
O  0.735  0.982  0.050
O  0.899  0.217  0.695
O  0.899  0.283  0.195

Peak list (12 most intense, 5 to 70 degrees two-theta, in order of rising 2θ)
d [Å]  intensity
6.372  100
4.676  41
4.075  49
3.620  51
3.354  62
2.945  97
2.806  14
2.429  21
2.003  18
1.903  21
1.665  15
1.599  13

***

Structure and computed XRD peak list of LiMn2C2O8 (a GGA+U-relaxed structure; copper Kα).
Kinematic intensities with the Lorentz-polarization factor, no thermal factor.

Crystal structure
a b c (Å): 6.409 9.249 11.167
angles (deg): 90.00 123.23 90.00
Element x y z (fractional)
Li  0.025  0.182  0.399
Li  0.025  0.318  0.899
Li  0.975  0.682  0.101
Li  0.975  0.818  0.601
Mn  0.002  0.552  0.377
Mn  0.002  0.948  0.877
Mn  0.488  0.070  0.115
Mn  0.488  0.430  0.615
Mn  0.512  0.570  0.385
Mn  0.512  0.930  0.885
Mn  0.998  0.052  0.123
Mn  0.998  0.448  0.623
C  0.025  0.140  0.660
C  0.025  0.360  0.160
C  0.453  0.634  0.832
C  0.453  0.866  0.332
C  0.547  0.134  0.668
C  0.547  0.366  0.168
C  0.975  0.640  0.840
C  0.975  0.860  0.340
O  0.074  0.628  0.969
O  0.074  0.872  0.469
O  0.084  0.237  0.232
O  0.084  0.263  0.732
O  0.092  0.019  0.742
O  0.092  0.481  0.242
O  0.104  0.115  0.999
O  0.104  0.385  0.499
O  0.352  0.599  0.494
O  0.352  0.901  0.994
O  0.360  0.514  0.750
O  0.360  0.986  0.250
O  0.362  0.742  0.265
O  0.362  0.758  0.765
O  0.383  0.125  0.539
O  0.383  0.375  0.039
O  0.617  0.625  0.961
O  0.617  0.875  0.461
O  0.638  0.242  0.235
O  0.638  0.258  0.735
O  0.640  0.014  0.750
O  0.640  0.486  0.250
O  0.648  0.099  0.006
O  0.648  0.401  0.506
O  0.896  0.615  0.501
O  0.896  0.885  0.001
O  0.908  0.519  0.758
O  0.908  0.981  0.258
O  0.916  0.737  0.268
O  0.916  0.763  0.768
O  0.926  0.128  0.531
O  0.926  0.372  0.031

Peak list (12 most intense, 5 to 70 degrees two-theta, in order of rising 2θ)
d [Å]  intensity
6.572  100
4.624  30
4.169  38
3.026  27
2.680  27
2.604  25
2.573  29
2.203  11
2.139  9
2.072  12
1.601  16
1.593  10

***

Structure and computed XRD peak list of Li2Mn2C3O9 (a GGA+U-relaxed structure; copper Kα).
Kinematic intensities with the Lorentz-polarization factor, no thermal factor.

Crystal structure
a b c (Å): 4.875 6.177 6.177
angles (deg): 111.26 90.00 90.00
Element x y z (fractional)
Li  0.000  0.000  0.000
Li  0.500  0.266  0.266
Mn  0.500  0.087  0.657
Mn  0.500  0.657  0.087
C  0.000  0.018  0.421
C  0.000  0.421  0.018
C  0.500  0.639  0.639
O  0.000  0.002  0.623
O  0.000  0.623  0.002
O  0.231  0.028  0.320
O  0.231  0.320  0.028
O  0.500  0.441  0.661
O  0.500  0.661  0.441
O  0.500  0.828  0.828
O  0.769  0.028  0.320
O  0.769  0.320  0.028

Peak list (12 most intense, 5 to 70 degrees two-theta, in order of rising 2θ)
d [Å]  intensity
5.098  100
4.875  76
3.720  33
3.487  23
2.878  36
2.836  32
2.478  45
2.437  30
2.057  28
1.998  28
1.919  24
1.860  26

***

Structure and computed XRD peak list of Li3Mn2C4O12 (a GGA+U-relaxed structure; copper Kα).
Kinematic intensities with the Lorentz-polarization factor, no thermal factor.

Crystal structure
a b c (Å): 7.168 9.978 8.637
angles (deg): 90.00 111.35 90.00
Element x y z (fractional)
Li  0.179  0.000  0.314
Li  0.234  0.900  0.903
Li  0.261  0.732  0.596
Li  0.739  0.232  0.404
Li  0.766  0.400  0.097
Li  0.821  0.500  0.686
Mn  0.213  0.184  0.692
Mn  0.295  0.467  0.828
Mn  0.705  0.967  0.172
Mn  0.787  0.684  0.308
C  0.014  0.928  0.531
C  0.023  0.794  0.110
C  0.478  0.836  0.384
C  0.491  0.711  0.967
C  0.509  0.211  0.033
C  0.522  0.336  0.616
C  0.977  0.294  0.890
C  0.986  0.428  0.469
O  0.024  0.194  0.812
O  0.027  0.300  0.490
O  0.039  0.417  0.877
O  0.059  0.515  0.586
O  0.131  0.773  0.026
O  0.142  0.967  0.673
O  0.347  0.849  0.453
O  0.360  0.669  0.829
O  0.420  0.123  0.918
O  0.425  0.222  0.598
O  0.475  0.337  0.015
O  0.496  0.434  0.703
O  0.504  0.934  0.297
O  0.525  0.837  0.985
O  0.575  0.722  0.402
O  0.580  0.623  0.082
O  0.640  0.169  0.171
O  0.653  0.349  0.547
O  0.858  0.467  0.327
O  0.869  0.273  0.974
O  0.941  0.015  0.414
O  0.961  0.917  0.123
O  0.973  0.800  0.510
O  0.976  0.694  0.188

Peak list (12 most intense, 5 to 70 degrees two-theta, in order of rising 2θ)
d [Å]  intensity
6.411  100
6.262  82
4.409  15
4.033  15
3.937  10
3.206  24
3.074  9
2.977  11
2.870  15
2.568  13
2.137  13
2.120  12

***

Structure and computed XRD peak list of Li2Mn2C2O7 (a GGA+U-relaxed structure; copper Kα).
Kinematic intensities with the Lorentz-polarization factor, no thermal factor.

Crystal structure
a b c (Å): 10.336 6.853 9.627
angles (deg): 90.00 115.42 90.00
Element x y z (fractional)
Li  0.004  0.247  0.239
Li  0.004  0.253  0.739
Li  0.149  0.646  0.576
Li  0.149  0.854  0.076
Li  0.851  0.146  0.924
Li  0.851  0.354  0.424
Li  0.996  0.747  0.261
Li  0.996  0.753  0.761
Mn  0.336  0.047  0.414
Mn  0.336  0.453  0.914
Mn  0.485  0.135  0.774
Mn  0.485  0.365  0.274
Mn  0.515  0.635  0.726
Mn  0.515  0.865  0.226
Mn  0.664  0.547  0.086
Mn  0.664  0.953  0.586
C  0.151  0.238  0.065
C  0.151  0.262  0.565
C  0.283  0.645  0.350
C  0.283  0.855  0.850
C  0.717  0.145  0.150
C  0.717  0.355  0.650
C  0.849  0.738  0.435
C  0.849  0.762  0.935
O  0.031  0.239  0.444
O  0.031  0.261  0.944
O  0.149  0.147  0.185
O  0.149  0.353  0.685
O  0.185  0.679  0.399
O  0.185  0.821  0.899
O  0.270  0.201  0.569
O  0.270  0.299  0.069
O  0.305  0.716  0.768
O  0.305  0.784  0.268
O  0.355  0.012  0.882
O  0.355  0.488  0.382
O  0.487  0.592  0.129
O  0.487  0.908  0.629
O  0.513  0.092  0.371
O  0.513  0.408  0.871
O  0.645  0.512  0.618
O  0.645  0.988  0.118
O  0.695  0.216  0.732
O  0.695  0.284  0.232
O  0.730  0.701  0.931
O  0.730  0.799  0.431
O  0.815  0.179  0.101
O  0.815  0.321  0.601
O  0.851  0.647  0.315
O  0.851  0.853  0.815
O  0.969  0.739  0.056
O  0.969  0.761  0.556

Peak list (12 most intense, 5 to 70 degrees two-theta, in order of rising 2θ)
d [Å]  intensity
9.335  100
5.314  15
3.420  22
3.217  12
3.174  25
2.850  15
2.791  15
2.663  17
2.566  11
2.404  11
2.212  11
2.010  10